[1]
Structure and computed X-ray powder pattern of Sn2HgBPt (a cell relaxed with PBE; Cu Ka).
Peak positions follow from Bragg's law for the DFT cell and can differ from measured ones.

Structural model:
Lattice parameters (Å, degrees): 5.117 5.117 4.108 90.00 90.00 90.00
Atoms (fractional coordinates):
Sn: 0.000 0.500 0.000
Sn: 0.500 0.000 0.000
Hg: 0.000 0.000 0.500
B: 0.500 0.500 0.000
Pt: 0.500 0.500 0.500

Main lines, sorted by position (10 to 80 degrees two-theta):
- 21.6 deg, I = 3
- 24.6 deg, I = 7
- 33.0 deg, I = 100
- 35.1 deg, I = 45
- 41.6 deg, I = 3
- 44.1 deg, I = 12
- 50.4 deg, I = 16
- 51.1 deg, I = 2
- 57.5 deg, I = 22
- 61.6 deg, I = 35
- 69.2 deg, I = 13
- 74.1 deg, I = 16

[2]
Structure and computed X-ray powder pattern of Cu2NiTe (a cell relaxed with PBE; Cu Ka).
Peak positions follow from Bragg's law for the DFT cell and can differ from measured ones.

Structural model:
Lattice parameters (Å, degrees): 4.623 4.623 3.936 112.08 112.08 49.70
Atoms (fractional coordinates):
Cu: 0.000 0.000 0.000
Cu: 0.749 0.749 0.228
Ni: 0.248 0.248 0.739
Te: 0.501 0.501 0.505

Main lines, sorted by position (10 to 80 degrees two-theta):
- 23.3 deg, I = 6
- 25.7 deg, I = 9
- 39.4 deg, I = 100
- 41.1 deg, I = 90
- 46.2 deg, I = 31
- 46.8 deg, I = 30
- 47.6 deg, I = 29
- 66.2 deg, I = 10
- 67.8 deg, I = 18
- 69.0 deg, I = 18
- 70.9 deg, I = 8
- 79.9 deg, I = 11

[3]
Structure and computed X-ray powder pattern of Rb2GeAuI6 (a cell relaxed with PBE; Cu Ka).
Peak positions follow from Bragg's law for the DFT cell and can differ from measured ones.

Structural model:
Lattice parameters (Å, degrees): 8.295 8.295 8.295 120.27 120.27 89.54
Atoms (fractional coordinates):
Rb: 0.250 0.750 0.500
Rb: 0.750 0.250 0.500
Ge: 0.000 0.000 0.000
Au: 0.500 0.500 0.000
I: 0.248 0.248 0.000
I: 0.250 0.250 0.500
I: 0.250 0.750 0.000
I: 0.750 0.250 0.000
I: 0.750 0.750 0.500
I: 0.752 0.752 0.000

Main lines, sorted by position (10 to 80 degrees two-theta):
- 15.0 deg, I = 23
- 15.2 deg, I = 45
- 21.5 deg, I = 19
- 26.4 deg, I = 88
- 30.4 deg, I = 51
- 30.6 deg, I = 100
- 34.3 deg, I = 25
- 43.6 deg, I = 75
- 43.8 deg, I = 37
- 51.9 deg, I = 26
- 54.3 deg, I = 39
- 71.8 deg, I = 17

[4]
Structure and computed X-ray powder pattern of Zn5Sn (a cell relaxed with PBE; Cu Ka).
Peak positions follow from Bragg's law for the DFT cell and can differ from measured ones.

Structural model:
Lattice parameters (Å, degrees): 7.342 7.342 3.361 90.00 90.00 143.27
Atoms (fractional coordinates):
Zn: 0.000 0.000 0.000
Zn: 0.161 0.839 0.500
Zn: 0.312 0.688 0.000
Zn: 0.688 0.312 0.000
Zn: 0.839 0.161 0.500
Sn: 0.500 0.500 0.500

Main lines, sorted by position (10 to 80 degrees two-theta):
- 25.6 deg, I = 4
- 29.5 deg, I = 4
- 37.7 deg, I = 4
- 38.4 deg, I = 100
- 38.8 deg, I = 21
- 38.9 deg, I = 25
- 54.6 deg, I = 9
- 56.1 deg, I = 14
- 69.0 deg, I = 7
- 69.1 deg, I = 9
- 69.9 deg, I = 11
- 70.1 deg, I = 16

[5]
Structure and computed X-ray powder pattern of BC5 (a cell relaxed with PBE; Cu Ka).
Peak positions follow from Bragg's law for the DFT cell and can differ from measured ones.

Structural model:
Lattice parameters (Å, degrees): 7.676 2.518 3.735 90.00 90.00 90.00
Atoms (fractional coordinates):
B: 0.250 0.000 0.120
B: 0.750 0.000 0.880
C: 0.078 0.000 0.871
C: 0.082 0.500 0.632
C: 0.250 0.500 0.409
C: 0.418 0.500 0.632
C: 0.422 0.000 0.871
C: 0.578 0.000 0.129
C: 0.582 0.500 0.368
C: 0.750 0.500 0.591
C: 0.918 0.500 0.368
C: 0.922 0.000 0.129

Main lines, sorted by position (10 to 80 degrees two-theta):
- 23.2 deg, I = 4
- 23.8 deg, I = 1
- 26.5 deg, I = 4
- 33.5 deg, I = 2
- 42.8 deg, I = 98
- 43.0 deg, I = 1
- 43.3 deg, I = 100
- 54.7 deg, I = 1
- 73.1 deg, I = 52
- 74.1 deg, I = 13
- 75.5 deg, I = 12

[6]
Structure and computed X-ray powder pattern of Na2Hg2Cl2F5 (a cell relaxed with PBE; Cu Ka).
Peak positions follow from Bragg's law for the DFT cell and can differ from measured ones.

Structural model:
Lattice parameters (Å, degrees): 10.324 10.324 10.324 153.42 153.42 37.95
Atoms (fractional coordinates):
Na: 0.108 0.108 0.000
Na: 0.892 0.892 0.000
Hg: 0.387 0.387 0.000
Hg: 0.613 0.613 0.000
Cl: 0.261 0.261 0.000
Cl: 0.739 0.739 0.000
F: 0.104 0.604 0.500
F: 0.396 0.896 0.500
F: 0.500 0.500 0.000
F: 0.604 0.104 0.500
F: 0.896 0.396 0.500

Main lines, sorted by position (10 to 80 degrees two-theta):
- 18.2 deg, I = 55
- 19.2 deg, I = 100
- 23.2 deg, I = 26
- 26.6 deg, I = 59
- 29.6 deg, I = 32
- 32.4 deg, I = 24
- 37.9 deg, I = 42
- 42.3 deg, I = 27
- 42.9 deg, I = 27
- 46.0 deg, I = 42
- 53.9 deg, I = 18
- 61.1 deg, I = 19

[7]
Structure and computed X-ray powder pattern of K16Na12Cd (a cell relaxed with PBE; Cu Ka).
Peak positions follow from Bragg's law for the DFT cell and can differ from measured ones.

Structural model:
Lattice parameters (Å, degrees): 12.449 12.449 12.755 109.20 109.20 107.64
Atoms (fractional coordinates):
K: 0.000 0.000 0.000
K: 0.006 0.649 0.359
K: 0.007 0.419 0.035
K: 0.012 0.012 0.359
K: 0.015 0.697 0.765
K: 0.305 0.305 0.051
K: 0.307 0.599 0.953
K: 0.340 0.726 0.666
K: 0.405 0.405 0.675
K: 0.419 0.007 0.035
K: 0.445 0.667 0.382
K: 0.599 0.307 0.953
K: 0.649 0.006 0.359
K: 0.667 0.445 0.382
K: 0.697 0.015 0.765
K: 0.726 0.340 0.666
Na: 0.007 0.375 0.526
Na: 0.014 0.200 0.706
Na: 0.167 0.352 0.329
Na: 0.194 0.816 0.179
Na: 0.200 0.014 0.706
Na: 0.352 0.167 0.329
Na: 0.375 0.007 0.526
Na: 0.653 0.827 0.981
Na: 0.667 0.667 0.190
Na: 0.816 0.194 0.179
Na: 0.827 0.653 0.981
Na: 0.842 0.842 0.568
Cd: 0.688 0.688 0.711

Main lines, sorted by position (10 to 80 degrees two-theta):
- 25.2 deg, I = 48
- 25.5 deg, I = 74
- 25.6 deg, I = 89
- 25.7 deg, I = 27
- 25.8 deg, I = 88
- 26.0 deg, I = 69
- 26.2 deg, I = 59
- 26.3 deg, I = 100
- 26.6 deg, I = 28
- 29.2 deg, I = 57
- 30.6 deg, I = 34
- 45.2 deg, I = 30